The following is a computed powder X-ray diffraction pattern of Nd4CuSn. It was derived from a DFT-relaxed cell (GGA-PBE, Alexandria), using Cu Kα (λ = 1.5418 Å).
Intensities are scaled so that the largest is 100.

Structure:
a = 10.725 Å, b = 10.725 Å, c = 6.552 Å
α = 90.00°, β = 90.00°, γ = 150.08°
Element x y z (fractional)
Nd 0.052 0.948 0.750
Nd 0.203 0.797 0.505
Nd 0.203 0.797 0.995
Nd 0.396 0.604 0.750
Nd 0.604 0.396 0.250
Nd 0.797 0.203 0.005
Nd 0.797 0.203 0.495
Nd 0.948 0.052 0.250
Cu 0.083 0.917 0.250
Cu 0.917 0.083 0.750
Sn 0.351 0.649 0.250
Sn 0.649 0.351 0.750

Largest 6 diffraction maxima, sorted by position, 2θ from 10° to 80°:
26.87 deg, d = 3.318 Å, I 36; 28.58 deg, d = 3.124 Å, I 35; 32.33 deg, d = 2.769 Å, I 67; 34.35 deg, d = 2.611 Å, I 100; 43.69 deg, d = 2.072 Å, I 23; 58.97 deg, d = 1.566 Å, I 23